For InGa4Ag7, a cell relaxed with PBE gives the theoretical X-ray diffraction stick pattern in this record (a wavelength of 1.5418 Å).
Peak positions follow from Bragg's law for the DFT cell and can differ from measured ones.

Most intense lines, 15° ≤ 2θ ≤ 90°, sorted by position:
d = 4.232 Å, 20.99 deg, rel. 22.4
d = 2.769 Å, 32.33 deg, rel. 16.4
d = 2.631 Å, 34.07 deg, rel. 100.0
d = 2.526 Å, 35.54 deg, rel. 86.1
d = 2.253 Å, 40.02 deg, rel. 79.6
d = 2.140 Å, 42.22 deg, rel. 68.3
d = 1.822 Å, 50.05 deg, rel. 62.6
d = 1.435 Å, 65.01 deg, rel. 17.7
d = 1.404 Å, 66.59 deg, rel. 17.1
d = 1.218 Å, 78.52 deg, rel. 15.9

Cell and atoms:
```
data_InGa4Ag7
_space_group_name_H-M_alt 'P 1'
_space_group_IT_number 1
_space_group_name_Hall 'P 1'
_cell_length_a 5.960
_cell_length_b 5.960
_cell_length_c 9.874
_cell_angle_alpha 117.53
_cell_angle_beta 117.53
_cell_angle_gamma 52.40
loop_
_atom_site_label
_atom_site_type_symbol
_atom_site_fract_x
_atom_site_fract_y
_atom_site_fract_z
_atom_site_occupancy
In1 In 0.000 0.000 0.000 1
Ga1 Ga 0.272 0.272 0.686 1
Ga2 Ga 0.421 0.421 0.233 1
Ga3 Ga 0.579 0.579 0.767 1
Ga4 Ga 0.728 0.728 0.314 1
Ag1 Ag 0.043 0.043 0.381 1
Ag2 Ag 0.212 0.212 0.920 1
Ag3 Ag 0.341 0.341 0.453 1
Ag4 Ag 0.500 0.500 0.000 1
Ag5 Ag 0.659 0.659 0.547 1
Ag6 Ag 0.788 0.788 0.080 1
Ag7 Ag 0.957 0.957 0.619 1
```

***

For Ba2Li3PmAu6, a cell relaxed with PBE gives the theoretical X-ray diffraction stick pattern in this record (a wavelength of 1.5418 Å).
Peak positions follow from Bragg's law for the DFT cell and can differ from measured ones.

Most intense lines, 15° ≤ 2θ ≤ 90°, sorted by position:
d = 3.899 Å, 22.80 deg, rel. 11.2
d = 3.302 Å, 27.00 deg, rel. 25.3
d = 2.700 Å, 33.19 deg, rel. 100.0
d = 2.411 Å, 37.30 deg, rel. 43.2
d = 2.376 Å, 37.87 deg, rel. 22.9
d = 2.210 Å, 40.84 deg, rel. 9.3
d = 1.705 Å, 53.77 deg, rel. 15.2
d = 1.629 Å, 56.49 deg, rel. 14.4
d = 1.490 Å, 62.33 deg, rel. 11.6
d = 1.441 Å, 64.66 deg, rel. 29.7

Cell and atoms:
```
data_Ba2Li3PmAu6
_space_group_name_H-M_alt 'P 1'
_space_group_IT_number 1
_space_group_name_Hall 'P 1'
_cell_length_a 4.822
_cell_length_b 4.822
_cell_length_c 13.258
_cell_angle_alpha 90.00
_cell_angle_beta 90.00
_cell_angle_gamma 90.00
loop_
_atom_site_label
_atom_site_type_symbol
_atom_site_fract_x
_atom_site_fract_y
_atom_site_fract_z
_atom_site_occupancy
Ba1 Ba 0.000 0.000 0.169 1
Ba2 Ba 0.000 0.000 0.831 1
Li1 Li 0.500 0.500 0.000 1
Li2 Li 0.500 0.500 0.403 1
Li3 Li 0.500 0.500 0.597 1
Pm1 Pm 0.000 0.000 0.500 1
Au1 Au 0.000 0.500 0.351 1
Au2 Au 0.000 0.500 0.649 1
Au3 Au 0.500 0.000 0.351 1
Au4 Au 0.500 0.000 0.649 1
Au5 Au 0.500 0.500 0.197 1
Au6 Au 0.500 0.500 0.803 1
```